1.
Starting from a DFT-relaxed cell (PBE, Alexandria), the XRD peak list of Ca3SbP was calculated for Cu Kα (λ = 1.5418 Å).

Peak list (12 most intense, 10° ≤ 2θ ≤ 90°, sorted by position)
- 10.51°, I 71
- 17.07°, I 31
- 23.84°, I 31
- 26.98°, I 100
- 30.19°, I 76
- 31.83°, I 37
- 33.39°, I 70
- 33.60°, I 78
- 34.54°, I 43
- 36.13°, I 73
- 43.46°, I 31
- 48.80°, I 30

Cell and atoms:
```
data_Ca3SbP
_chemical_formula_sum 'Ca6 Sb2 P2'
_space_group_name_H-M_alt 'P 1'
_space_group_IT_number 1
_space_group_name_Hall 'P 1'
_cell_length_a 6.602
_cell_length_b 5.368
_cell_length_c 8.414
_cell_angle_alpha 90.00
_cell_angle_beta 90.00
_cell_angle_gamma 90.00
loop_
_atom_site_label
_atom_site_fract_x
_atom_site_fract_y
_atom_site_fract_z
_atom_site_occupancy
Ca1 0.000 0.000 0.000 1
Ca2 0.250 0.000 0.377 1
Ca3 0.250 0.500 0.765 1
Ca4 0.500 0.000 0.000 1
Ca5 0.750 0.000 0.623 1
Ca6 0.750 0.500 0.235 1
Sb1 0.250 0.500 0.161 1
Sb2 0.750 0.500 0.839 1
P1 0.250 0.000 0.706 1
P2 0.750 0.000 0.294 1
```

2.
Starting from a DFT-relaxed cell (PBE, Alexandria), the XRD peak list of Mg7Cr was calculated for Cu Kα (λ = 1.5418 Å).

Peak list (12 most intense, 10° ≤ 2θ ≤ 90°, sorted by position)
- 16.28°, I 10
- 23.95°, I 6
- 32.91°, I 25
- 35.31°, I 26
- 37.48°, I 100
- 49.03°, I 15
- 58.76°, I 16
- 64.81°, I 18
- 70.45°, I 18
- 71.81°, I 13
- 79.97°, I 3
- 84.04°, I 3

Cell and atoms:
```
data_Mg7Cr
_chemical_formula_sum 'Mg7 Cr1'
_space_group_name_H-M_alt 'P 1'
_space_group_IT_number 1
_space_group_name_Hall 'P 1'
_cell_length_a 6.286
_cell_length_b 6.286
_cell_length_c 5.084
_cell_angle_alpha 90.00
_cell_angle_beta 90.00
_cell_angle_gamma 120.00
loop_
_atom_site_label
_atom_site_fract_x
_atom_site_fract_y
_atom_site_fract_z
_atom_site_occupancy
Mg1 0.000 0.000 0.000 1
Mg2 0.009 0.504 0.000 1
Mg3 0.335 0.167 0.500 1
Mg4 0.496 0.504 0.000 1
Mg5 0.496 0.991 0.000 1
Mg6 0.833 0.167 0.500 1
Mg7 0.833 0.665 0.500 1
Cr1 0.333 0.667 0.500 1
```

3.
Starting from a DFT-relaxed cell (PBE, Alexandria), the XRD peak list of CaSnAu6 was calculated for Cu Kα (λ = 1.5418 Å).

Peak list (12 most intense, 10° ≤ 2θ ≤ 90°, sorted by position)
- 23.03°, I 13
- 32.79°, I 17
- 36.79°, I 100
- 40.45°, I 38
- 53.01°, I 3
- 58.54°, I 15
- 61.18°, I 23
- 63.75°, I 20
- 68.74°, I 12
- 78.27°, I 6
- 80.59°, I 22
- 82.90°, I 5

Cell and atoms:
```
data_CaSnAu6
_chemical_formula_sum 'Ca1 Sn1 Au6'
_space_group_name_H-M_alt 'P 1'
_space_group_IT_number 1
_space_group_name_Hall 'P 1'
_cell_length_a 5.462
_cell_length_b 5.462
_cell_length_c 5.462
_cell_angle_alpha 90.00
_cell_angle_beta 90.00
_cell_angle_gamma 90.00
loop_
_atom_site_label
_atom_site_fract_x
_atom_site_fract_y
_atom_site_fract_z
_atom_site_occupancy
Ca1 0.000 0.000 0.000 1
Sn1 0.500 0.500 0.500 1
Au1 0.000 0.250 0.500 1
Au2 0.000 0.750 0.500 1
Au3 0.250 0.500 0.000 1
Au4 0.500 0.000 0.250 1
Au5 0.500 0.000 0.750 1
Au6 0.750 0.500 0.000 1
```

4.
Starting from a DFT-relaxed cell (PBE, Alexandria), the XRD peak list of Ac4Tl3Ag2 was calculated for Cu Kα (λ = 1.5418 Å).

Peak list (12 most intense, 10° ≤ 2θ ≤ 90°, sorted by position)
- 30.19°, I 100
- 32.50°, I 84
- 44.95°, I 34
- 52.13°, I 18
- 56.56°, I 35
- 57.99°, I 17
- 62.79°, I 11
- 68.07°, I 10
- 72.50°, I 14
- 76.25°, I 15
- 84.71°, I 7
- 85.35°, I 6

Cell and atoms:
```
data_Ac4Tl3Ag2
_chemical_formula_sum 'Ac4 Tl3 Ag2'
_space_group_name_H-M_alt 'P 1'
_space_group_IT_number 1
_space_group_name_Hall 'P 1'
_cell_length_a 5.509
_cell_length_b 5.509
_cell_length_c 11.321
_cell_angle_alpha 90.00
_cell_angle_beta 90.00
_cell_angle_gamma 120.00
loop_
_atom_site_label
_atom_site_fract_x
_atom_site_fract_y
_atom_site_fract_z
_atom_site_occupancy
Ac1 0.000 0.000 0.171 1
Ac2 0.000 0.000 0.829 1
Ac3 0.333 0.667 0.386 1
Ac4 0.667 0.333 0.614 1
Tl1 0.000 0.000 0.500 1
Tl2 0.333 0.667 0.044 1
Tl3 0.667 0.333 0.956 1
Ag1 0.333 0.667 0.691 1
Ag2 0.667 0.333 0.309 1
```